The following is a computed XRD peak list of Ba2CoB6O12. It was derived from the GGA+U geometry in the Materials Project, using CuKα.

Structure:
```
data_Ba2CoB6O12
_cell_length_a 7.1515
_cell_length_b 7.1515
_cell_length_c 17.0826
_cell_angle_alpha 90.00
_cell_angle_beta 90.00
_cell_angle_gamma 120.00
_symmetry_space_group_name_H-M 'R -3'
_symmetry_Int_Tables_number 148
_symmetry_space_group_name_Hall '-R 3'
loop_
_atom_site_label
_atom_site_type_symbol
_atom_site_fract_x
_atom_site_fract_y
_atom_site_fract_z
Ba1 Ba 0.0000 0.0000 0.2084
Co1 Co 0.0000 0.0000 0.0000
B1 B 0.0559 0.2237 0.5889
O1 O 0.0049 0.7659 0.0797
O2 O 0.0536 0.2154 0.4108
```

Peak list (10 most intense, 10° ≤ 2θ ≤ 90°, in order of rising 2θ)
15.2 deg, rel. 27, hkl 1 0 1; 17.7 deg, rel. 27, hkl 0 1 2; 24.9 deg, rel. 100, hkl 1 1 0; 29.5 deg, rel. 28, hkl 2 -1 3; 29.9 deg, rel. 100, hkl 0 1 5; 30.7 deg, rel. 24, hkl 2 0 2; 39.3 deg, rel. 33, hkl 2 0 5; 39.9 deg, rel. 38, hkl 3 -2 2; 44.1 deg, rel. 36, hkl 2 1 4; 47.1 deg, rel. 38, hkl 1 2 5